Entry 1:
The following is a computed powder XRD pattern of Ca2Au. It was derived from a cell relaxed with GGA-PBE, using Cu Ka.
Neutral-atom scattering factors, no anomalous dispersion.

The 10 most intense peaks (2θ from 15° to 90°), in order of rising 2θ:
18.2°, I 100.0; 23.7°, I 20.8; 25.1°, I 21.4; 26.9°, I 26.3; 30.4°, I 29.9; 33.0°, I 53.7; 34.8°, I 46.0; 36.9°, I 26.6; 40.5°, I 18.4; 42.4°, I 18.6

Structural model:
```
6
Lattice="1.953 -6.698 0.000 1.953 6.698 0.000 0.000 0.000 7.083" Properties=species:S:1:pos:R:3 pbc="T T T"
Ca 1.953 6.477 3.541
Ca 1.953 2.924 4.813
Ca 1.953 -2.924 1.272
Ca 1.953 -6.477 0.000
Au 1.953 1.564 1.990
Au 1.953 -1.564 5.531
```


Entry 2:
The following is a computed powder XRD pattern of Ca2Au. It was derived from a cell relaxed with GGA-PBE, using Cu Ka.
Neutral-atom scattering factors, no anomalous dispersion.

The 10 most intense peaks (2θ from 15° to 90°), in order of rising 2θ:
17.9°, I 100.0; 24.5°, I 28.7; 24.8°, I 62.3; 35.4°, I 38.5; 36.0°, I 54.9; 36.3°, I 25.7; 40.0°, I 13.9; 43.5°, I 21.7; 46.8°, I 17.8; 57.4°, I 13.6

Structural model:
```
6
Lattice="6.852 0.000 0.000 0.000 7.165 0.000 0.000 0.000 4.222" Properties=species:S:1:pos:R:3 pbc="T T T"
Ca 1.715 1.166 0.000
Ca 1.711 4.748 2.111
Ca 5.141 2.417 2.111
Ca 5.137 5.999 0.000
Au 0.000 0.000 2.111
Au 3.426 3.582 0.000
```


Entry 3:
The following is a computed powder XRD pattern of Ca2Au3. It was derived from a cell relaxed with GGA-PBE, using Cu Ka.
Neutral-atom scattering factors, no anomalous dispersion.

The 10 most intense peaks (2θ from 15° to 90°), in order of rising 2θ:
21.5°, I 73.4; 24.7°, I 17.8; 33.0°, I 55.4; 35.7°, I 100.0; 41.7°, I 21.7; 42.4°, I 22.7; 43.7°, I 19.1; 47.7°, I 35.0; 48.0°, I 18.9; 66.7°, I 19.6

Structural model:
```
5
Lattice="-2.132 3.365 4.139 2.132 -3.365 4.139 2.132 3.365 -4.139" Properties=species:S:1:pos:R:3 pbc="T T T"
Ca 0.000 0.000 1.792
Ca 0.000 0.000 6.487
Au 2.132 1.407 0.000
Au 0.000 3.365 0.000
Au 0.000 1.957 4.139
```


Entry 4:
The following is a computed powder XRD pattern of CaCdAu2. It was derived from a cell relaxed with GGA-PBE, using Cu Ka.
Neutral-atom scattering factors, no anomalous dispersion.

The 10 most intense peaks (2θ from 15° to 90°), in order of rising 2θ:
16.4°, I 38.2; 25.1°, I 32.0; 25.2°, I 30.7; 25.6°, I 29.6; 32.0°, I 50.9; 32.2°, I 53.3; 38.7°, I 63.9; 39.8°, I 100.0; 40.1°, I 55.6; 48.6°, I 24.3

Structural model:
```
4
Lattice="3.746 0.000 0.000 0.000 4.526 0.000 -1.824 0.000 5.418" Properties=species:S:1:pos:R:3 pbc="T T T"
Ca 0.000 0.000 0.000
Cd 1.903 2.263 2.160
Au 0.046 0.000 2.930
Au 0.048 2.263 4.658
```